Simulated XRD peak list of Pt3Rh for λ = 1.5418 Å (Cu Kα), from a DFT-relaxed cell (GGA-PBE, the Materials Project).

Main lines, sorted by position (10 to 90 degrees two-theta):
- 3.947 Å, 22.53°, intensity 4.8
- 2.791 Å, 32.07°, intensity 4.1
- 2.279 Å, 39.55°, intensity 100.0
- 1.973 Å, 45.99°, intensity 49.0
- 1.765 Å, 51.79°, intensity 2.3
- 1.611 Å, 57.17°, intensity 1.8
- 1.395 Å, 67.07°, intensity 32.1
- 1.316 Å, 71.74°, intensity 1.2
- 1.190 Å, 80.75°, intensity 38.6
- 1.139 Å, 85.16°, intensity 11.4

Cell and atoms:
Cell: 3.947 3.947 3.947 Å, 90.00 90.00 90.00°
Space group Pm-3m (No. 221)
Asymmetric unit:
Pt 0.000 0.000 0.500 x3
Rh 0.500 0.500 0.500 x1